# 1
For Ca6In5Pd, a DFT-relaxed cell (GGA-PBE, Alexandria) gives the computed powder X-ray diffraction pattern in this record (Cu Ka).
No peak broadening, texture or thermal motion is included.

Crystal structure
Cell: 9.2718 9.2718 9.2718 Å, 146.60 130.62 60.93°
Element x y z (fractional)
Ca  0.0809  0.3425  0.7385
Ca  0.2312  0.0000  0.2312
Ca  0.3960  0.6575  0.7385
Ca  0.6040  0.3425  0.2615
Ca  0.7688  0.0000  0.7688
Ca  0.9191  0.6575  0.2615
In  0.1775  0.1775  0.0000
In  0.3311  0.8311  0.5000
In  0.5000  0.5000  0.0000
In  0.6689  0.1689  0.5000
In  0.8225  0.8225  0.0000
Pd  0.0000  0.5000  0.5000

The 10 most intense peaks (2θ = 10–80°), in order of rising 2θ:
two_theta  d [Å]  I/Imax
22.96  3.873  13.9
23.61  3.768  25.2
33.17  2.701  100.0
33.64  2.664  47.8
41.13  2.195  12.4
46.92  1.937  9.0
48.31  1.884  16.0
58.96  1.566  17.1
59.86  1.545  31.8
69.63  1.350  9.8

# 2
For ScIn5I8, a DFT-relaxed cell (GGA-PBE, Alexandria) gives the computed powder X-ray diffraction pattern in this record (Cu Ka).
No peak broadening, texture or thermal motion is included.

Crystal structure
Cell: 9.8491 9.8491 9.8491 Å, 104.47 104.47 120.01°
Element x y z (fractional)
Sc  0.0000  0.0000  0.0000
In  0.1569  0.6214  0.0193
In  0.2500  0.7500  0.5000
In  0.3786  0.3979  0.5355
In  0.6021  0.1376  0.9807
In  0.8624  0.8431  0.4645
I  0.3280  0.0955  0.1669
I  0.3350  0.1360  0.7045
I  0.3695  0.6650  0.8010
I  0.4315  0.6305  0.2955
I  0.8389  0.6720  0.7675
I  0.8640  0.5685  0.1990
I  0.9045  0.0714  0.2325
I  0.9286  0.1611  0.8331

The 10 most intense peaks (2θ = 10–80°), in order of rising 2θ:
two_theta  d [Å]  I/Imax
11.60  7.629  15.4
18.75  4.731  16.2
23.32  3.814  100.0
29.62  3.016  91.4
31.91  2.805  13.8
36.49  2.462  40.9
38.04  2.366  20.3
42.39  2.132  14.7
47.68  1.907  15.3
61.50  1.508  14.3

# 3
For Hf5GeSb5, a DFT-relaxed cell (GGA-PBE, Alexandria) gives the computed powder X-ray diffraction pattern in this record (Cu Ka).
No peak broadening, texture or thermal motion is included.

Crystal structure
Cell: 6.9617 6.9617 8.0529 Å, 107.24 107.24 48.39°
Element x y z (fractional)
Hf  0.0000  0.0000  0.0000
Hf  0.3355  0.3355  0.1522
Hf  0.3413  0.3413  0.6838
Hf  0.6587  0.6587  0.3162
Hf  0.6645  0.6645  0.8478
Ge  0.5000  0.5000  0.0000
Sb  0.1536  0.1536  0.8057
Sb  0.1652  0.1652  0.3425
Sb  0.5000  0.5000  0.5000
Sb  0.8348  0.8348  0.6575
Sb  0.8464  0.8464  0.1943

The 10 most intense peaks (2θ = 10–80°), in order of rising 2θ:
two_theta  d [Å]  I/Imax
31.36  2.852  100.0
31.65  2.827  45.9
44.97  2.016  53.4
45.15  2.008  34.4
45.30  2.002  17.2
55.89  1.645  17.7
56.12  1.639  18.2
65.44  1.426  11.8
74.37  1.276  19.7
74.49  1.274  7.9

# 4
For CdSnPb, a DFT-relaxed cell (GGA-PBE, Alexandria) gives the computed powder X-ray diffraction pattern in this record (Cu Ka).
No peak broadening, texture or thermal motion is included.

Crystal structure
Cell: 3.4704 3.4704 7.9887 Å, 90.00 90.00 120.00°
Element x y z (fractional)
Cd  0.0000  0.0000  0.0000
Sn  0.6667  0.3333  0.3135
Pb  0.3333  0.6667  0.6656

The 10 most intense peaks (2θ = 10–80°), in order of rising 2θ:
two_theta  d [Å]  I/Imax
11.08  7.989  9.0
31.81  2.813  100.0
33.66  2.663  26.7
37.45  2.402  62.4
52.76  1.735  23.2
55.22  1.663  21.6
62.93  1.477  14.5
64.05  1.454  25.3
66.25  1.411  11.1
66.48  1.406  11.8

# 5
For Pr3Nd2Y2, a DFT-relaxed cell (GGA-PBE, Alexandria) gives the computed powder X-ray diffraction pattern in this record (Cu Ka).
No peak broadening, texture or thermal motion is included.

Crystal structure
Cell: 3.6063 8.8270 9.0008 Å, 61.64 89.99 78.24°
Element x y z (fractional)
Pr  0.0000  0.0000  0.0000
Pr  0.2940  0.4108  0.7091
Pr  0.7060  0.5892  0.2909
Nd  0.3628  0.2749  0.1672
Nd  0.6372  0.7251  0.8328
Y  0.0715  0.8575  0.4304
Y  0.9285  0.1425  0.5696

The 10 most intense peaks (2θ = 10–80°), in order of rising 2θ:
two_theta  d [Å]  I/Imax
29.35  3.043  85.2
30.27  2.952  95.3
30.48  2.932  100.0
30.64  2.918  90.4
31.61  2.831  85.4
32.22  2.779  95.4
40.55  2.224  28.3
44.70  2.027  29.3
46.80  1.941  39.8
50.61  1.804  30.3

# 6
For Hg3SbPb4, a DFT-relaxed cell (GGA-PBE, Alexandria) gives the computed powder X-ray diffraction pattern in this record (Cu Ka).
No peak broadening, texture or thermal motion is included.

Crystal structure
Cell: 6.9996 7.0925 9.3448 Å, 90.00 90.00 90.04°
Element x y z (fractional)
Hg  0.0000  0.0000  0.0000
Hg  0.0132  0.4935  0.4998
Hg  0.2568  0.2433  0.2482
Hg  0.4989  0.4941  0.4999
Hg  0.5142  0.9993  0.9997
Hg  0.7565  0.2498  0.7488
Sb  0.2555  0.7541  0.2470
Sb  0.7576  0.7384  0.7459
Pb  0.0061  0.9952  0.5056
Pb  0.0071  0.4993  0.0057
Pb  0.2565  0.7426  0.7538
Pb  0.2571  0.2411  0.7588
Pb  0.5056  0.9945  0.5053
Pb  0.5076  0.4999  0.0051
Pb  0.7559  0.2531  0.2586
Pb  0.7563  0.7516  0.2540

The 10 most intense peaks (2θ = 10–80°), in order of rising 2θ:
two_theta  d [Å]  I/Imax
31.68  2.825  100.0
31.95  2.801  97.9
36.06  2.491  71.3
38.54  2.336  29.7
51.54  1.773  13.0
52.28  1.750  12.7
53.80  1.704  45.7
61.94  1.498  30.1
62.43  1.488  29.4
65.45  1.426  12.7

# 7
For Dy12ZnNi5, a DFT-relaxed cell (GGA-PBE, Alexandria) gives the computed powder X-ray diffraction pattern in this record (Cu Ka).
No peak broadening, texture or thermal motion is included.

Crystal structure
Cell: 8.2587 8.2587 8.2587 Å, 111.44 109.80 107.20°
Element x y z (fractional)
Dy  0.0349  0.2229  0.8120
Dy  0.1799  0.2877  0.4676
Dy  0.1799  0.7123  0.8922
Dy  0.3250  0.0201  0.6950
Dy  0.3250  0.6300  0.3050
Dy  0.4110  0.2229  0.1880
Dy  0.5890  0.7771  0.8120
Dy  0.6750  0.3700  0.6950
Dy  0.6750  0.9799  0.3050
Dy  0.8201  0.2877  0.1078
Dy  0.8201  0.7123  0.5324
Dy  0.9651  0.7771  0.1880
Zn  0.5000  0.5000  0.0000
Ni  0.0000  0.0000  0.0000
Ni  0.1232  0.6232  0.5000
Ni  0.3567  0.0000  0.3567
Ni  0.6433  0.0000  0.6433
Ni  0.8768  0.3768  0.5000

The 10 most intense peaks (2θ = 10–80°), in order of rising 2θ:
two_theta  d [Å]  I/Imax
28.92  3.087  27.9
29.65  3.013  28.9
30.31  2.949  38.1
32.56  2.750  100.0
34.86  2.574  61.7
35.10  2.557  67.3
35.51  2.528  49.2
35.78  2.510  28.6
59.70  1.549  26.0
60.75  1.525  35.9